Simulated powder X-ray diffraction pattern
Compound: Sc3Cd4Ag4
Radiation: Cu Kα (weighted mean of Kα1 and Kα2)
Structure: a crystal structure in Alexandria, relaxed with PBE

Cell and atoms:
Unit cell a=3.1078 b=4.8485 c=15.2617 alpha=99.13 beta=95.77 gamma=90.04
Space group P-1 (No. 2)
One atom of each set of equivalent atoms:
Sc1 0.0000 0.0000 0.0000 x1
Sc2 0.1383 0.6389 0.2774 x2
Cd1 0.3167 0.8160 0.6320 x2
Cd2 0.4535 0.4525 0.9060 x2
Ag1 0.2683 0.2687 0.5375 x2
Ag2 0.4086 0.9079 0.8170 x2

Main lines, in order of rising 2θ (5° ≤ 2θ ≤ 70°):
two_theta  intensity
20.4  173
28.9  354
35.7  407
36.4  728
37.1  545
37.9  1000
46.0  286
47.7  175
52.4  255
67.4  168